Record 1
This entry pairs a crystal structure of Ba4SnGe2S8Br2 with its theoretical X-ray diffraction stick pattern. Radiation: Cu Kα. Structure: a PBE-relaxed structure.
Kinematic intensities with the Lorentz-polarization factor, no thermal factor.

Crystal structure
```
data_Ba4SnGe2S8Br2
_space_group_name_H-M_alt 'P m n 21'
_space_group_IT_number 31
_cell_length_a 9.2535
_cell_length_b 12.1245
_cell_length_c 9.0899
_cell_angle_alpha 90.00
_cell_angle_beta 90.00
_cell_angle_gamma 90.00
loop_
_space_group_symop_operation_xyz
'x,y,z'
'-x+1/2,-y,z+1/2'
'-x,y,z'
'x+1/2,-y,z+1/2'
loop_
_atom_site_label
_atom_site_type_symbol
_atom_site_fract_x
_atom_site_fract_y
_atom_site_fract_z
_atom_site_occupancy
Ba1 Ba 0.2426 0.0809 0.0000 1
Ba2 Ba 0.2444 0.5738 0.7131 1
Sn1 Sn 0.0000 0.7300 0.1364 1
Ge1 Ge 0.0000 0.3409 0.9139 1
Ge2 Ge 0.0000 0.8499 0.8093 1
S1 S 0.0000 0.0266 0.7452 1
S2 S 0.0000 0.2483 0.1280 1
S3 S 0.0000 0.5277 0.9764 1
S4 S 0.0000 0.7520 0.6033 1
S5 S 0.1945 0.8067 0.9442 1
S6 S 0.2171 0.3153 0.8190 1
Br1 Br 0.0000 0.4581 0.4728 1
Br2 Br 0.0000 0.9720 0.2537 1
```

Top 12 peaks for 5° ≤ 2θ ≤ 70°, by intensity:
2θ/deg  intensity  h k l
28.50  100  2 1 2
31.11  34  0 4 1
30.99  33  2 3 1
38.93  25  4 0 0
24.09  23  0 3 1
33.05  17  0 2 3
26.14  15  2 2 1
43.29  14  2 5 1
13.66  13  1 0 1
31.29  13  2 2 2
50.64  12  4 4 1
17.52  12  1 2 0

***

Record 2
This entry pairs a crystal structure of BaH4Br3 with its theoretical X-ray diffraction stick pattern. Radiation: Cu Kα. Structure: a PBE-relaxed structure.
Kinematic intensities with the Lorentz-polarization factor, no thermal factor.

Crystal structure
```
data_BaH4Br3
_space_group_name_H-M_alt 'C 1 2/m 1'
_space_group_IT_number 12
_cell_length_a 15.3973
_cell_length_b 4.5294
_cell_length_c 5.5486
_cell_angle_alpha 90.00
_cell_angle_beta 94.99
_cell_angle_gamma 90.00
loop_
_space_group_symop_operation_xyz
'x,y,z'
'-x,-y,-z'
'-x,y,-z'
'x,-y,z'
'x+1/2,y+1/2,z'
'-x+1/2,-y+1/2,-z'
'-x+1/2,y+1/2,-z'
'x+1/2,-y+1/2,z'
loop_
_atom_site_label
_atom_site_type_symbol
_atom_site_fract_x
_atom_site_fract_y
_atom_site_fract_z
_atom_site_occupancy
Ba1 Ba 0.0000 0.0000 0.0000 1
H1 H 0.1556 0.0000 0.4401 1
H2 H 0.1826 0.0000 0.3329 1
Br1 Br 0.0000 0.5000 0.5000 1
Br2 Br 0.1454 0.5000 0.9182 1
```

Top 12 peaks for 5° ≤ 2θ ≤ 70°, by intensity:
2θ/deg  intensity  h k l
30.12  100  3 1 -1
11.54  92  2 0 0
31.75  61  3 1 1
16.03  55  0 0 1
25.77  38  1 1 -1
26.29  37  3 1 0
40.12  32  5 1 1
32.39  25  0 0 2
35.10  25  6 0 0
35.47  24  2 0 2
39.80  23  0 2 0
53.54  16  1 1 -3

***

Record 3
This entry pairs a crystal structure of BaH5BrO3 with its theoretical X-ray diffraction stick pattern. Radiation: Cu Kα. Structure: a PBE-relaxed structure.
Kinematic intensities with the Lorentz-polarization factor, no thermal factor.

Crystal structure
```
data_BaH5BrO3
_space_group_name_H-M_alt 'P 4/n m m'
_space_group_IT_number 129
_cell_length_a 4.6308
_cell_length_b 4.6308
_cell_length_c 12.4975
_cell_angle_alpha 90.00
_cell_angle_beta 90.00
_cell_angle_gamma 90.00
loop_
_space_group_symop_operation_xyz
'x,y,z'
'-x,-y,-z'
'-y+1/2,x,z'
'y+1/2,-x,-z'
'-x+1/2,-y+1/2,z'
'x+1/2,y+1/2,-z'
'y,-x+1/2,z'
'-y,x+1/2,-z'
'x+1/2,-y,-z'
'-x+1/2,y,z'
'-y,-x,-z'
'y,x,z'
'-x,y+1/2,-z'
'x,-y+1/2,z'
'y+1/2,x+1/2,-z'
'-y+1/2,-x+1/2,z'
loop_
_atom_site_label
_atom_site_type_symbol
_atom_site_fract_x
_atom_site_fract_y
_atom_site_fract_z
_atom_site_occupancy
Ba1 Ba 0.2500 0.2500 0.1845 1
H1 H 0.0709 0.7500 0.3595 1
H2 H 0.2500 0.2500 0.5111 1
Br1 Br 0.2500 0.2500 0.9092 1
O1 O 0.2500 0.2500 0.5888 1
O2 O 0.2500 0.7500 0.3121 1
```

Top 12 peaks for 5° ≤ 2θ ≤ 70°, by intensity:
2θ/deg  intensity  h k l
7.07  100  0 0 1
27.23  52  1 1 0
28.83  49  1 0 3
34.63  47  1 0 4
34.85  41  1 1 3
38.90  37  2 0 0
28.17  37  1 1 1
53.05  28  2 1 4
20.45  23  1 0 1
49.13  20  2 1 3
14.17  17  0 0 2
55.13  15  1 0 7

***

Record 4
This entry pairs a crystal structure of BaHfHgBr6 with its theoretical X-ray diffraction stick pattern. Radiation: Cu Kα. Structure: a PBE-relaxed structure.
Kinematic intensities with the Lorentz-polarization factor, no thermal factor.

Crystal structure
```
data_BaHfHgBr6
_space_group_name_H-M_alt 'P -3 1 c'
_space_group_IT_number 163
_space_group_name_Hall '-P 3 2c'
_cell_length_a 7.8294
_cell_length_b 7.8294
_cell_length_c 17.3321
_cell_angle_alpha 90.00
_cell_angle_beta 90.00
_cell_angle_gamma 120.00
loop_
_atom_site_label
_atom_site_type_symbol
_atom_site_fract_x
_atom_site_fract_y
_atom_site_fract_z
_atom_site_occupancy
Ba1 Ba 0.3333 0.6667 0.2500 1
Hf1 Hf 0.3333 0.6667 0.7500 1
Hg1 Hg 0.0000 0.0000 0.0000 1
Br1 Br 0.0594 0.3970 0.6606 1
```

Top 12 peaks for 5° ≤ 2θ ≤ 70°, by intensity:
2θ/deg  intensity  h k l
16.60  100  1 0 2
30.78  77  1 1 4
10.21  37  0 0 2
24.96  31  1 1 2
36.56  25  2 1 2
39.89  25  3 0 0
47.99  20  2 -1 8
28.27  19  2 0 2
51.23  18  4 -2 4
47.42  16  3 -1 6
14.03  16  1 0 1
22.71  15  1 1 0

***

Record 5
This entry pairs a crystal structure of BaLi2HfBr8 with its theoretical X-ray diffraction stick pattern. Radiation: Cu Kα. Structure: a PBE-relaxed structure.
Kinematic intensities with the Lorentz-polarization factor, no thermal factor.

Crystal structure
```
data_BaLi2HfBr8
_space_group_name_H-M_alt 'P -1'
_space_group_IT_number 2
_cell_length_a 6.8268
_cell_length_b 7.4684
_cell_length_c 9.1909
_cell_angle_alpha 67.51
_cell_angle_beta 89.86
_cell_angle_gamma 81.56
loop_
_space_group_symop_operation_xyz
'x,y,z'
'-x,-y,-z'
loop_
_atom_site_label
_atom_site_type_symbol
_atom_site_fract_x
_atom_site_fract_y
_atom_site_fract_z
_atom_site_occupancy
Ba1 Ba 0.0000 0.0000 0.0000 1
Li1 Li 0.4730 0.3511 0.1783 1
Hf1 Hf 0.0000 0.0000 0.5000 1
Br1 Br 0.1108 0.2410 0.2230 1
Br2 Br 0.1324 0.2102 0.6377 1
Br3 Br 0.3432 0.7763 0.5496 1
Br4 Br 0.4227 0.7216 0.0579 1
```

Top 12 peaks for 5° ≤ 2θ ≤ 70°, by intensity:
2θ/deg  intensity  h k l
28.32  100  1 2 2
12.99  100  0 1 0
30.31  93  1 1 -2
13.14  92  1 0 0
31.41  78  2 -1 0
19.94  68  1 -1 0
44.42  67  2 3 0
16.98  54  1 1 0
20.96  39  0 0 2
43.90  37  1 -2 2
39.34  31  0 1 4
41.14  26  -1 3 2